# Mn2Bi3Sb3O14
Calculated PXRD pattern, copper Kα. Input: the PBE+U geometry in the Materials Project.

Principal peaks in the range 10 to 80 degrees two-theta, by angle:
| 2theta | I (rel.) |
| --- | --- |
| 16.76 | 139 |
| 29.04 | 1000 |
| 29.81 | 318 |
| 33.88 | 457 |
| 48.17 | 325 |
| 49.18 | 286 |
| 57.23 | 154 |
| 57.68 | 285 |
| 58.57 | 143 |
| 60.19 | 106 |
| 71.30 | 91 |
| 77.99 | 123 |

a b c (Å): 7.5564 7.5564 17.9834
angles (deg): 90.00 90.00 120.00
Space group R-3m (No. 166, hexagonal axes)
One atom of each set of equivalent atoms:
Mn 0.0000 0.0000 0.0000
Mn 0.0000 0.0000 0.5000
Bi 0.0000 0.5000 0.0000
Sb 0.0000 0.5000 0.5000
O 0.0000 0.0000 0.3859
O 0.0380 0.5190 0.6092
O 0.0659 0.5330 0.8519

=====

# SrMn2BiO6
Calculated PXRD pattern, copper Kα. Input: the PBE+U geometry in the Materials Project.

Principal peaks in the range 10 to 80 degrees two-theta, by angle:
| 2theta | I (rel.) |
| --- | --- |
| 19.50 | 409 |
| 22.36 | 153 |
| 22.66 | 186 |
| 32.05 | 1000 |
| 32.26 | 539 |
| 37.61 | 126 |
| 37.97 | 148 |
| 39.60 | 304 |
| 46.26 | 346 |
| 56.99 | 165 |
| 57.39 | 389 |
| 67.01 | 126 |

a b c (Å): 5.550 5.550 7.951
angles (deg): 90.00 90.00 90.00
Space group I4mm (No. 107)
One atom of each set of equivalent atoms:
Sr 0.000 0.000 0.000
Mn 0.000 0.500 0.242
Bi 0.000 0.000 0.544
O 0.000 0.500 0.486
O 0.238 0.238 0.723

=====

# SrMn2BiO6
Calculated PXRD pattern, copper Kα. Input: the PBE+U geometry in the Materials Project.

Principal peaks in the range 10 to 80 degrees two-theta, by angle:
| 2theta | I (rel.) |
| --- | --- |
| 19.35 | 441 |
| 19.70 | 378 |
| 22.99 | 469 |
| 31.41 | 579 |
| 31.85 | 1000 |
| 32.30 | 531 |
| 32.74 | 933 |
| 39.28 | 307 |
| 40.02 | 295 |
| 44.33 | 386 |
| 46.98 | 515 |
| 55.62 | 207 |

a b c (Å): 7.738 7.739 5.551
angles (deg): 90.00 132.59 90.00
Space group C2 (No. 5)
One atom of each set of equivalent atoms:
Sr 0.000 0.000 0.000
Mn 0.000 0.261 0.500
Mn 0.000 0.758 0.500
Bi 0.000 0.455 0.000
O 0.000 0.016 0.500
O 0.000 0.514 0.500
O 0.220 0.275 0.968
O 0.235 0.277 0.473

=====

# SrMn2BiO6
Calculated PXRD pattern, copper Kα. Input: the PBE+U geometry in the Materials Project.

Principal peaks in the range 10 to 80 degrees two-theta, by angle:
| 2theta | I (rel.) |
| --- | --- |
| 19.27 | 269 |
| 19.62 | 388 |
| 22.10 | 220 |
| 22.95 | 262 |
| 31.46 | 532 |
| 31.90 | 438 |
| 32.13 | 508 |
| 32.24 | 516 |
| 32.41 | 1000 |
| 45.09 | 308 |
| 46.08 | 315 |
| 46.89 | 215 |

a b c (Å): 5.536 5.557 9.570
angles (deg): 74.76 73.49 61.71
Space group P1 (No. 1)
One atom of each set of equivalent atoms:
Sr 0.000 0.000 0.000
Sr 0.480 0.518 0.496
Mn 0.107 0.143 0.628
Mn 0.389 0.375 0.874
Mn 0.613 0.641 0.129
Mn 0.863 0.896 0.376
Bi 0.204 0.283 0.214
Bi 0.701 0.787 0.715
O 0.031 0.459 0.000
O 0.236 0.798 0.275
O 0.289 0.727 0.754
O 0.320 0.221 0.741
O 0.448 0.519 0.026
O 0.472 0.997 0.501
O 0.497 0.013 0.018
O 0.766 0.261 0.252
O 0.777 0.273 0.778
O 0.806 0.728 0.241
O 0.917 0.040 0.527
O 0.955 0.557 0.514